No. 1
Simulated powder X-ray diffraction pattern of Ho5CuTe3 for Cu Kα, from a GGA-PBE-relaxed structure.
No peak broadening, texture or thermal motion is included.

Most intense lines, 15 to 90 degrees two-theta, low angle first:
d [Å], 2theta, I/Imax
2.861, 31.26, 76
2.804, 31.91, 93
2.670, 33.57, 100
2.266, 39.79, 43
1.923, 47.28, 21
1.586, 58.18, 34
1.556, 59.38, 26
1.492, 62.22, 28

Cell and atoms:
Cell: 8.5671 8.5671 3.8451 Å, 90.00 90.00 120.00°
Fractional positions:
Ho 0.0000 0.2332 0.0000
Ho 0.2332 0.0000 0.0000
Ho 0.3333 0.6667 0.0000
Ho 0.6667 0.3333 0.0000
Ho 0.7668 0.7668 0.0000
Cu 0.0000 0.0000 0.5000
Te 0.0000 0.5628 0.5000
Te 0.4372 0.4372 0.5000
Te 0.5628 0.0000 0.5000

No. 2
Simulated powder X-ray diffraction pattern of K3SmAs2S8 for Cu Kα, from a GGA-PBE-relaxed structure.
No peak broadening, texture or thermal motion is included.

Most intense lines, 15 to 90 degrees two-theta, low angle first:
d [Å], 2theta, I/Imax
4.572, 19.42, 55
3.947, 22.53, 72
3.337, 26.72, 100
3.118, 28.63, 62
3.065, 29.14, 91
2.518, 35.66, 78
2.332, 38.61, 64
2.251, 40.05, 55

Cell and atoms:
Cell: 10.9045 10.9045 9.0110 Å, 102.85 102.85 122.38°
Fractional positions:
K 0.0000 0.0000 0.0000
K 0.0000 0.0000 0.5000
K 0.2403 0.7597 0.7500
K 0.4959 0.5041 0.7500
K 0.5041 0.4959 0.2500
K 0.7597 0.2403 0.2500
Sm 0.2571 0.7429 0.2500
Sm 0.7429 0.2571 0.7500
As 0.1577 0.4052 0.8974
As 0.4052 0.1577 0.3974
As 0.5948 0.8423 0.6026
As 0.8423 0.5948 0.1026
S 0.0044 0.3598 0.6543
S 0.0283 0.3734 0.0585
S 0.2339 0.2588 0.8718
S 0.2588 0.2339 0.3718
S 0.3424 0.6308 0.4787
S 0.3598 0.0044 0.1543
S 0.3692 0.6576 0.0213
S 0.3734 0.0283 0.5585
S 0.6266 0.9717 0.4415
S 0.6308 0.3424 0.9787
S 0.6402 0.9956 0.8457
S 0.6576 0.3692 0.5213
S 0.7412 0.7661 0.6282
S 0.7661 0.7412 0.1282
S 0.9717 0.6266 0.9415
S 0.9956 0.6402 0.3457

No. 3
Simulated powder X-ray diffraction pattern of Hf3ZrSb4 for Cu Kα, from a GGA-PBE-relaxed structure.
No peak broadening, texture or thermal motion is included.

Most intense lines, 15 to 90 degrees two-theta, low angle first:
d [Å], 2theta, I/Imax
3.142, 28.40, 42
2.790, 32.09, 100
2.450, 36.69, 33
2.153, 41.96, 32
2.048, 44.23, 63
1.651, 55.68, 21
1.305, 72.41, 27
1.285, 73.72, 18

Cell and atoms:
Cell: 4.0956 4.0956 13.5498 Å, 90.00 90.00 120.00°
Fractional positions:
Hf 0.0000 0.0000 0.0000
Hf 0.0000 0.0000 0.2606
Hf 0.3333 0.6667 0.4978
Zr 0.3333 0.6667 0.7617
Sb 0.0000 0.0000 0.6277
Sb 0.3333 0.6667 0.1307
Sb 0.6667 0.3333 0.3793
Sb 0.6667 0.3333 0.8826

No. 4
Simulated powder X-ray diffraction pattern of KNdP4O12 for Cu Kα, from a GGA-PBE-relaxed structure.
No peak broadening, texture or thermal motion is included.

Most intense lines, 15 to 90 degrees two-theta, low angle first:
d [Å], 2theta, I/Imax
5.695, 15.56, 98
5.505, 16.10, 66
5.424, 16.34, 61
5.244, 16.91, 62
3.309, 26.94, 100
3.267, 27.29, 89
3.114, 28.67, 85
3.044, 29.34, 83

Cell and atoms:
Cell: 7.3224 8.3548 7.7868 Å, 90.00 91.94 90.00°
Fractional positions:
K 0.2325 0.0000 0.2805
K 0.7675 0.5000 0.7195
Nd 0.2669 0.3153 0.7609
Nd 0.7331 0.8153 0.2391
P 0.0665 0.9346 0.8921
P 0.1160 0.5752 0.4093
P 0.4000 0.7324 0.9030
P 0.4928 0.4624 0.3746
P 0.5072 0.9624 0.6254
P 0.6000 0.2324 0.0970
P 0.8840 0.0752 0.5907
P 0.9335 0.4346 0.1079
O 0.0260 0.4310 0.2982
O 0.0314 0.7309 0.3555
O 0.0780 0.4033 0.9809
O 0.1127 0.5269 0.5937
O 0.1846 0.0777 0.9307
O 0.1884 0.7767 0.8697
O 0.3208 0.5785 0.3431
O 0.3365 0.0613 0.6148
O 0.4272 0.5718 0.8242
O 0.4510 0.7601 0.0883
O 0.4618 0.3532 0.5231
O 0.4815 0.3633 0.1982
O 0.5185 0.8633 0.8018
O 0.5382 0.8532 0.4769
O 0.5490 0.2601 0.9117
O 0.5728 0.0718 0.1758
O 0.6635 0.5613 0.3852
O 0.6792 0.0785 0.6569
O 0.8116 0.2767 0.1303
O 0.8154 0.5777 0.0693
O 0.8873 0.0269 0.4063
O 0.9220 0.9033 0.0191
O 0.9686 0.2309 0.6445
O 0.9740 0.9310 0.7018